[1]
Calculated PXRD pattern
Compound: V11S16
Radiation: Cu Kα
Structure: a structure optimized by DFT (GGA-PBE)
Intensities are scaled so that the largest is 100.

Crystal structure
abc: 6.543 8.949 10.113
angles: 103.90 104.51 96.96
Fractional coordinates of all 27 atoms:
V 0.000 0.000 0.000
V 0.004 0.504 0.345
V 0.056 0.746 0.666
V 0.267 0.406 0.940
V 0.365 0.453 0.246
V 0.371 0.076 0.874
V 0.384 0.576 0.588
V 0.402 0.144 0.279
V 0.448 0.811 0.264
V 0.636 0.332 0.093
V 0.673 0.836 0.566
S 0.154 0.891 0.166
S 0.199 0.547 0.754
S 0.238 0.332 0.416
S 0.250 0.217 0.064
S 0.336 0.683 0.399
S 0.410 0.876 0.697
S 0.511 0.301 0.840
S 0.518 0.604 0.111
S 0.655 0.030 0.416
S 0.683 0.369 0.340
S 0.692 0.072 0.040
S 0.739 0.629 0.685
S 0.910 0.742 0.439
S 0.978 0.993 0.766
S 0.979 0.474 0.114
S 0.991 0.342 0.733

The 10 most intense peaks (10 to 90 degrees two-theta), most intense first:
two_theta  Rel. int.
11.89  100
39.93  27
14.25  23
14.63  17
21.46  16
15.89  15
43.70  14
24.09  14
17.91  13
44.68  12


[2]
Calculated PXRD pattern
Compound: SiO2
Radiation: Cu Kα
Structure: a structure optimized by DFT (GGA-PBE)
Intensities are scaled so that the largest is 100.

Crystal structure
abc: 5.449 5.449 5.493
angles: 96.22 96.22 99.97
Fractional coordinates of all 12 atoms:
Si 0.051 0.949 0.500
Si 0.484 0.636 0.427
Si 0.636 0.484 0.927
Si 0.949 0.051 0.000
O 0.099 0.126 0.281
O 0.126 0.099 0.781
O 0.230 0.741 0.473
O 0.446 0.514 0.136
O 0.514 0.446 0.636
O 0.741 0.230 0.973
O 0.746 0.843 0.470
O 0.843 0.746 0.970

The 10 most intense peaks (10 to 90 degrees two-theta), most intense first:
two_theta  Rel. int.
21.29  100
25.80  68
21.84  50
24.94  32
33.09  25
69.35  15
37.66  13
16.66  13
33.69  11
35.19  11


[3]
Calculated PXRD pattern
Compound: SrMg15
Radiation: Cu Kα
Structure: a structure optimized by DFT (GGA-PBE)
Intensities are scaled so that the largest is 100.

Crystal structure
abc: 6.609 6.609 10.423
angles: 90.00 90.00 120.00
Fractional coordinates of all 16 atoms:
Sr 0.000 0.000 0.000
Mg 0.000 0.000 0.500
Mg 0.009 0.505 0.000
Mg 0.170 0.341 0.260
Mg 0.170 0.341 0.740
Mg 0.170 0.830 0.260
Mg 0.170 0.830 0.740
Mg 0.495 0.505 0.000
Mg 0.495 0.991 0.000
Mg 0.501 0.002 0.500
Mg 0.501 0.499 0.500
Mg 0.659 0.830 0.260
Mg 0.659 0.830 0.740
Mg 0.667 0.333 0.246
Mg 0.667 0.333 0.754
Mg 0.998 0.499 0.500

The 10 most intense peaks (10 to 90 degrees two-theta), most intense first:
two_theta  Rel. int.
35.79  100
31.25  25
34.42  24
67.07  19
62.55  18
55.62  18
47.17  15
67.93  14
17.68  12
23.08  8


[4]
Calculated PXRD pattern
Compound: HoGe2Pd
Radiation: Cu Kα
Structure: a structure optimized by DFT (GGA-PBE)
Intensities are scaled so that the largest is 100.

Crystal structure
abc: 9.421 9.421 4.241
angles: 90.00 90.00 155.31
Fractional coordinates of all 8 atoms:
Ho 0.100 0.900 0.750
Ho 0.900 0.100 0.250
Ge 0.255 0.745 0.250
Ge 0.465 0.535 0.750
Ge 0.535 0.465 0.250
Ge 0.745 0.255 0.750
Pd 0.333 0.667 0.750
Pd 0.667 0.333 0.250

The 10 most intense peaks (10 to 90 degrees two-theta), most intense first:
two_theta  Rel. int.
34.00  100
32.96  49
44.82  35
42.64  31
31.00  29
45.01  27
54.93  23
65.40  22
63.73  19
28.63  15


[5]
Calculated PXRD pattern
Compound: Ca2SiO4
Radiation: Cu Kα
Structure: a structure optimized by DFT (GGA-PBE)
Intensities are scaled so that the largest is 100.

Crystal structure
abc: 8.736 8.736 10.052
angles: 122.73 122.73 36.57
Fractional coordinates of all 28 atoms:
Ca 0.000 0.500 0.500
Ca 0.194 0.626 0.343
Ca 0.242 0.758 0.750
Ca 0.374 0.806 0.157
Ca 0.500 0.000 0.000
Ca 0.626 0.194 0.843
Ca 0.758 0.242 0.250
Ca 0.806 0.374 0.657
Si 0.102 0.601 0.926
Si 0.399 0.898 0.574
Si 0.601 0.102 0.426
Si 0.898 0.399 0.074
O 0.058 0.420 0.853
O 0.088 0.132 0.486
O 0.132 0.088 0.986
O 0.157 0.592 0.784
O 0.381 0.469 0.062
O 0.408 0.843 0.716
O 0.420 0.058 0.353
O 0.469 0.381 0.562
O 0.531 0.619 0.438
O 0.580 0.942 0.647
O 0.592 0.157 0.284
O 0.619 0.531 0.938
O 0.843 0.408 0.216
O 0.868 0.912 0.014
O 0.912 0.868 0.514
O 0.942 0.580 0.147

The 10 most intense peaks (10 to 90 degrees two-theta), most intense first:
two_theta  Rel. int.
31.31  100
32.51  54
45.69  46
32.67  43
31.05  35
57.44  19
45.82  19
32.39  19
54.63  18
56.93  17